Computed powder XRD pattern
Compound: Ag2AsHSe4
Radiation: Cu Kα
Structure: a structure optimized by DFT (GGA-PBE)
Peak positions follow from Bragg's law for the DFT cell and can differ from measured ones.

Structure:
Cell: 5.8551 6.0507 6.7752 Å, 115.12 112.72 93.66°
Element x y z (fractional)
Ag: 0.0000 0.0000 0.0000
Ag: 0.1861 0.8767 0.5772
As: 0.7594 0.2813 0.5435
H: 0.5166 0.4267 0.1655
Se: 0.1566 0.6071 0.7945
Se: 0.4015 0.4186 0.3271
Se: 0.6453 0.2078 0.8144
Se: 0.7770 0.8991 0.2451

Top 10 peaks for 2θ = 10–80°, most intense first:
27.5 deg, I = 100.0
26.5 deg, I = 88.4
27.2 deg, I = 86.0
26.0 deg, I = 63.5
45.0 deg, I = 57.7
44.6 deg, I = 46.5
44.5 deg, I = 43.6
33.4 deg, I = 42.1
16.8 deg, I = 33.4
51.8 deg, I = 28.3

Computed powder XRD pattern
Compound: Ag4HgAs
Radiation: Cu Kα
Structure: a structure optimized by DFT (GGA-PBE)
Peak positions follow from Bragg's law for the DFT cell and can differ from measured ones.

Structure:
Cell: 5.5444 5.5444 5.5444 Å, 60.00 60.00 60.00°
Element x y z (fractional)
Ag: 0.1250 0.1250 0.1250
Ag: 0.1250 0.1250 0.6250
Ag: 0.1250 0.6250 0.1250
Ag: 0.6250 0.1250 0.1250
Hg: 0.5000 0.5000 0.5000
As: 0.7500 0.7500 0.7500

Top 10 peaks for 2θ = 10–80°, most intense first:
38.1 deg, I = 100.0
39.8 deg, I = 34.3
32.3 deg, I = 32.5
61.4 deg, I = 31.8
67.6 deg, I = 25.2
57.6 deg, I = 12.6
19.6 deg, I = 7.8
22.7 deg, I = 7.3
76.9 deg, I = 5.5
52.2 deg, I = 3.5

Computed powder XRD pattern
Compound: AgHgAsO4
Radiation: Cu Kα
Structure: a structure optimized by DFT (GGA-PBE)
Peak positions follow from Bragg's law for the DFT cell and can differ from measured ones.

Structure:
Cell: 8.3056 6.4409 6.8769 Å, 77.09 49.10 53.81°
Element x y z (fractional)
Ag: 0.0000 0.0000 0.0000
Ag: 0.2500 0.2500 0.2500
Hg: 0.3861 0.3861 0.6139
Hg: 0.6361 0.6361 0.8639
As: 0.6983 0.6983 0.3017
As: 0.9483 0.9483 0.5517
O: 0.0291 0.5477 0.1217
O: 0.0689 0.6266 0.5977
O: 0.1283 0.9486 0.2209
O: 0.5432 0.6523 0.6234
O: 0.5477 0.0291 0.3014
O: 0.6266 0.0689 0.7068
O: 0.6523 0.5432 0.1811
O: 0.9486 0.1283 0.7023

Top 10 peaks for 2θ = 10–80°, most intense first:
28.7 deg, I = 100.0
32.0 deg, I = 77.2
29.2 deg, I = 44.8
35.5 deg, I = 37.6
21.5 deg, I = 35.3
46.6 deg, I = 29.0
53.6 deg, I = 20.8
50.4 deg, I = 19.3
43.4 deg, I = 16.6
55.0 deg, I = 15.8

Computed powder XRD pattern
Compound: AgHg2AsO4
Radiation: Cu Kα
Structure: a structure optimized by DFT (GGA-PBE)
Peak positions follow from Bragg's law for the DFT cell and can differ from measured ones.

Structure:
Cell: 9.0017 9.8490 6.3759 Å, 90.00 90.00 90.00°
Element x y z (fractional)
Ag: 0.0323 0.1419 0.0000
Ag: 0.4677 0.6419 0.0000
Ag: 0.5323 0.3581 0.0000
Ag: 0.9677 0.8581 0.0000
Hg: 0.2424 0.9654 0.2113
Hg: 0.2424 0.9654 0.7887
Hg: 0.2576 0.4654 0.2113
Hg: 0.2576 0.4654 0.7887
Hg: 0.7424 0.5346 0.2113
Hg: 0.7424 0.5346 0.7887
Hg: 0.7576 0.0346 0.2113
Hg: 0.7576 0.0346 0.7887
As: 0.0369 0.7116 0.5000
As: 0.4631 0.2116 0.5000
As: 0.5369 0.7884 0.5000
As: 0.9631 0.2884 0.5000
O: 0.0606 0.3019 0.2681
O: 0.0606 0.3019 0.7319
O: 0.1192 0.8706 0.5000
O: 0.1708 0.5835 0.5000
O: 0.3292 0.0835 0.5000
O: 0.3808 0.3706 0.5000
O: 0.4394 0.8019 0.2681
O: 0.4394 0.8019 0.7319
O: 0.5606 0.1981 0.2681
O: 0.5606 0.1981 0.7319
O: 0.6192 0.6294 0.5000
O: 0.6708 0.9165 0.5000
O: 0.8292 0.4165 0.5000
O: 0.8808 0.1294 0.5000
O: 0.9394 0.6981 0.2681
O: 0.9394 0.6981 0.7319

Top 10 peaks for 2θ = 10–80°, most intense first:
26.8 deg, I = 100.0
34.5 deg, I = 58.1
33.5 deg, I = 37.2
18.0 deg, I = 34.6
35.0 deg, I = 27.3
39.2 deg, I = 22.0
47.8 deg, I = 21.6
37.9 deg, I = 20.6
44.3 deg, I = 20.0
53.2 deg, I = 19.6

Computed powder XRD pattern
Compound: AgHgAsO4
Radiation: Cu Kα
Structure: a structure optimized by DFT (GGA-PBE)
Peak positions follow from Bragg's law for the DFT cell and can differ from measured ones.

Structure:
Cell: 5.8958 5.8958 7.1235 Å, 90.00 90.00 90.00°
Element x y z (fractional)
Ag: 0.0000 0.0000 0.0000
Ag: 0.5000 0.5000 0.5000
Hg: 0.0000 0.0000 0.5000
Hg: 0.5000 0.5000 0.0000
As: 0.0000 0.5000 0.7500
As: 0.5000 0.0000 0.2500
O: 0.1698 0.3208 0.6176
O: 0.1792 0.6698 0.8824
O: 0.3208 0.8302 0.3824
O: 0.3302 0.1792 0.1176
O: 0.6698 0.8208 0.1176
O: 0.6792 0.1698 0.3824
O: 0.8208 0.3302 0.8824
O: 0.8302 0.6792 0.6176

Top 10 peaks for 2θ = 10–80°, most intense first:
33.1 deg, I = 100.0
30.3 deg, I = 49.9
21.3 deg, I = 46.1
55.6 deg, I = 44.9
19.5 deg, I = 41.8
43.4 deg, I = 25.8
39.7 deg, I = 21.3
60.8 deg, I = 19.7
25.0 deg, I = 19.2
48.8 deg, I = 14.9

Computed powder XRD pattern
Compound: HoAg2AsO4
Radiation: Cu Kα
Structure: a structure optimized by DFT (GGA-PBE)
Peak positions follow from Bragg's law for the DFT cell and can differ from measured ones.

Structure:
Cell: 5.8891 5.8891 8.6947 Å, 90.00 90.00 90.00°
Element x y z (fractional)
Ho: 0.0000 0.0000 0.0000
Ho: 0.5000 0.5000 0.5000
Ag: 0.0000 0.0000 0.5000
Ag: 0.0000 0.5000 0.7500
Ag: 0.5000 0.0000 0.2500
Ag: 0.5000 0.5000 0.0000
As: 0.0000 0.5000 0.2500
As: 0.5000 0.0000 0.7500
O: 0.1035 0.7136 0.1352
O: 0.2136 0.3965 0.3648
O: 0.2864 0.1035 0.8648
O: 0.3965 0.7864 0.6352
O: 0.6035 0.2136 0.6352
O: 0.7136 0.8965 0.8648
O: 0.7864 0.6035 0.3648
O: 0.8965 0.2864 0.1352

Top 10 peaks for 2θ = 10–80°, most intense first:
29.7 deg, I = 100.0
30.4 deg, I = 42.3
53.5 deg, I = 36.4
52.3 deg, I = 21.2
43.5 deg, I = 16.1
61.7 deg, I = 12.4
68.6 deg, I = 8.5
71.7 deg, I = 8.3
71.3 deg, I = 7.7
41.5 deg, I = 7.4

Computed powder XRD pattern
Compound: AgAs2I6
Radiation: Cu Kα
Structure: a structure optimized by DFT (GGA-PBE)
Peak positions follow from Bragg's law for the DFT cell and can differ from measured ones.

Structure:
Cell: 9.0459 9.0459 9.0459 Å, 51.33 51.33 51.33°
Element x y z (fractional)
Ag: 0.0000 0.0000 0.0000
As: 0.6108 0.6108 0.6108
As: 0.7245 0.7245 0.7245
I: 0.0743 0.7716 0.3917
I: 0.2356 0.6124 0.9163
I: 0.3917 0.0743 0.7716
I: 0.6124 0.9163 0.2356
I: 0.7716 0.3917 0.0743
I: 0.9163 0.2356 0.6124

Top 10 peaks for 2θ = 10–80°, most intense first:
25.4 deg, I = 100.0
39.9 deg, I = 33.0
22.7 deg, I = 27.7
41.6 deg, I = 27.5
46.4 deg, I = 24.5
32.3 deg, I = 20.5
64.0 deg, I = 17.3
11.3 deg, I = 15.7
47.9 deg, I = 15.4
13.6 deg, I = 13.9

Computed powder XRD pattern
Compound: KAg2AsI6
Radiation: Cu Kα
Structure: a structure optimized by DFT (GGA-PBE)
Peak positions follow from Bragg's law for the DFT cell and can differ from measured ones.

Structure:
Cell: 10.6351 10.6351 9.0787 Å, 110.70 110.70 76.47°
Element x y z (fractional)
K: 0.1699 0.8301 0.7500
K: 0.8301 0.1699 0.2500
Ag: 0.3687 0.4965 0.8635
Ag: 0.4965 0.3687 0.3635
Ag: 0.5035 0.6313 0.6365
Ag: 0.6313 0.5035 0.1365
As: 0.2066 0.7934 0.2500
As: 0.7934 0.2066 0.7500
I: 0.0231 0.1849 0.6896
I: 0.1070 0.6160 0.9202
I: 0.1849 0.0231 0.1896
I: 0.2814 0.4640 0.5098
I: 0.3840 0.8930 0.5798
I: 0.4640 0.2814 0.0098
I: 0.5360 0.7186 0.9902
I: 0.6160 0.1070 0.4202
I: 0.7186 0.5360 0.4902
I: 0.8151 0.9769 0.8104
I: 0.8930 0.3840 0.0798
I: 0.9769 0.8151 0.3104

Top 10 peaks for 2θ = 10–80°, most intense first:
17.4 deg, I = 100.0
11.9 deg, I = 91.6
26.0 deg, I = 89.1
23.9 deg, I = 80.4
29.4 deg, I = 66.2
27.7 deg, I = 64.7
25.0 deg, I = 60.3
32.7 deg, I = 55.8
42.1 deg, I = 52.5
21.1 deg, I = 49.9